(1)
RbSrMg14: computed powder diffraction line list (Cu Kα X-rays), based on a crystal structure in the Materials Project, relaxed with PBE.
Peak positions follow from Bragg's law for the DFT cell and can differ from measured ones.

Structural model:
```
data_RbSrMg14
_symmetry_space_group_name_H-M 'A m m 2'
_symmetry_Int_Tables_number 38
_cell_length_a 10.911
_cell_length_b 6.675
_cell_length_c 11.774
_cell_angle_alpha 90.00
_cell_angle_beta 90.00
_cell_angle_gamma 90.00
loop_
_symmetry_equiv_pos_as_xyz
'x,y,z'
'-x,-y,z'
'-x,y,z'
'x,-y,z'
'x,y+1/2,z+1/2'
'-x,-y+1/2,z+1/2'
'-x,y+1/2,z+1/2'
'x,-y+1/2,z+1/2'
loop_
_atom_site_label
_atom_site_type_symbol
_atom_site_fract_x
_atom_site_fract_y
_atom_site_fract_z
Rb1 Rb 0.000 0.000 0.000
Sr1 Sr 0.000 0.000 0.497
Mg1 Mg 0.000 0.247 0.751
Mg2 Mg 0.257 0.000 0.671
Mg3 Mg 0.262 0.000 0.175
Mg4 Mg 0.275 0.246 0.410
Mg5 Mg 0.500 0.000 0.002
Mg6 Mg 0.500 0.000 0.502
Mg7 Mg 0.500 0.249 0.249
```

Peak list (8 most intense, 2θ = 10–80°, low angle first)
2θ = 17.1°, I 19, hkl 1 0 2
2θ = 30.8°, I 27, hkl 0 2 2
2θ = 32.8°, I 37, hkl 4 0 0
2θ = 34.6°, I 50, hkl 2 0 4
2θ = 35.0°, I 100, hkl 2 2 2
2θ = 54.2°, I 18, hkl 0 2 6
2θ = 60.0°, I 19, hkl 6 2 2
2θ = 64.9°, I 20, hkl 4 2 6

(2)
La4GaSi3: computed powder diffraction line list (Cu Kα X-rays), based on a crystal structure in the Materials Project, relaxed with PBE.
Peak positions follow from Bragg's law for the DFT cell and can differ from measured ones.

Structural model:
```
data_La4GaSi3
_symmetry_space_group_name_H-M 'P m m 2'
_symmetry_Int_Tables_number 25
_cell_length_a 4.055
_cell_length_b 4.532
_cell_length_c 11.410
_cell_angle_alpha 90.00
_cell_angle_beta 90.00
_cell_angle_gamma 90.00
loop_
_symmetry_equiv_pos_as_xyz
'x,y,z'
'-x,-y,z'
'-x,y,z'
'x,-y,z'
loop_
_atom_site_label
_atom_site_type_symbol
_atom_site_fract_x
_atom_site_fract_y
_atom_site_fract_z
La1 La 0.000 0.000 0.000
La2 La 0.000 0.500 0.495
La3 La 0.500 0.000 0.278
La4 La 0.500 0.500 0.782
Ga1 Ga 0.000 0.000 0.706
Si1 Si 0.000 0.500 0.206
Si2 Si 0.500 0.000 0.568
Si3 Si 0.500 0.500 0.072
```

Peak list (8 most intense, 2θ = 10–80°, low angle first)
2θ = 21.1°, I 13, hkl 0 1 1
2θ = 27.0°, I 31, hkl 1 0 2
2θ = 30.6°, I 100, hkl 0 1 3
2θ = 31.4°, I 17, hkl 0 0 4
2θ = 38.0°, I 24, hkl 1 1 3
2θ = 39.8°, I 16, hkl 0 2 0
2θ = 48.7°, I 13, hkl 1 2 2
2θ = 55.2°, I 14, hkl 2 1 3

(3)
Mn3Mo3C: computed powder diffraction line list (Cu Kα X-rays), based on a crystal structure in the Materials Project, relaxed with PBE.
Peak positions follow from Bragg's law for the DFT cell and can differ from measured ones.

Structural model:
Cell: 11.124 11.124 11.124 Å, 90.00 90.00 90.00°
Space group Fd-3m (No. 227, origin choice 2)
Asymmetric unit:
Mn (0.000, 0.000, 0.000)
Mn (0.047, 0.047, 0.203)
Mo (0.073, 0.375, 0.875)
C (0.000, 0.000, 0.500)

Peak list (8 most intense, 2θ = 10–80°, low angle first)
2θ = 32.2°, I 12, hkl 4 0 0
2θ = 35.2°, I 19, hkl 3 3 1
2θ = 39.7°, I 44, hkl 4 2 2
2θ = 42.2°, I 100, hkl 3 3 3
2θ = 46.2°, I 36, hkl 4 4 0
2θ = 69.1°, I 11, hkl 7 3 3
2θ = 72.0°, I 38, hkl 6 6 0
2θ = 73.8°, I 9, hkl 5 5 5

(4)
MgAl2P3NO12: computed powder diffraction line list (Cu Kα X-rays), based on a crystal structure in the Materials Project, relaxed with PBE.
Peak positions follow from Bragg's law for the DFT cell and can differ from measured ones.

Structural model:
```
data_MgAl2P3NO12
_symmetry_space_group_name_H-M 'A m a 2'
_symmetry_Int_Tables_number 40
_cell_length_a 9.201
_cell_length_b 13.093
_cell_length_c 13.314
_cell_angle_alpha 90.00
_cell_angle_beta 90.00
_cell_angle_gamma 90.00
loop_
_symmetry_equiv_pos_as_xyz
'x,y,z'
'-x,-y,z'
'-x+1/2,y,z'
'x+1/2,-y,z'
'x,y+1/2,z+1/2'
'-x,-y+1/2,z+1/2'
'-x+1/2,y+1/2,z+1/2'
'x+1/2,-y+1/2,z+1/2'
loop_
_atom_site_label
_atom_site_type_symbol
_atom_site_fract_x
_atom_site_fract_y
_atom_site_fract_z
Mg1 Mg 0.250 0.125 0.000
Al1 Al 0.000 0.000 0.373
Al2 Al 0.250 0.374 0.240
P1 P 0.000 0.000 0.859
P2 P 0.250 0.126 0.252
P3 P 0.250 0.380 0.996
N1 N 0.250 0.250 0.620
O1 O 0.088 0.068 0.928
O2 O 0.098 0.436 0.289
O3 O 0.112 0.083 0.303
O4 O 0.113 0.432 0.954
O5 O 0.250 0.101 0.141
O6 O 0.250 0.243 0.268
O7 O 0.250 0.267 0.972
O8 O 0.250 0.397 0.111
```

Peak list (8 most intense, 2θ = 10–80°, low angle first)
2θ = 13.3°, I 21, hkl 0 0 2
2θ = 13.5°, I 100, hkl 0 2 0
2θ = 19.0°, I 19, hkl 0 2 2
2θ = 19.3°, I 9, hkl 2 0 0
2θ = 23.3°, I 28, hkl 1 1 3
2θ = 23.5°, I 43, hkl 2 0 2
2θ = 23.6°, I 14, hkl 2 2 0
2θ = 27.2°, I 10, hkl 2 2 2

(5)
BaNaCeBiO6: computed powder diffraction line list (Cu Kα X-rays), based on a crystal structure in the Materials Project, relaxed with PBE.
Peak positions follow from Bragg's law for the DFT cell and can differ from measured ones.

Structural model:
```
data_BaNaCeBiO6
_symmetry_space_group_name_H-M 'P n n n'
_symmetry_Int_Tables_number 48
_cell_length_a 8.619
_cell_length_b 8.642
_cell_length_c 8.665
_cell_angle_alpha 90.00
_cell_angle_beta 90.00
_cell_angle_gamma 90.00
loop_
_symmetry_equiv_pos_as_xyz
'x,y,z'
'-x,-y,-z'
'-x+1/2,-y+1/2,z'
'x+1/2,y+1/2,-z'
'x,-y+1/2,-z+1/2'
'-x,y+1/2,z+1/2'
'-x+1/2,y,-z+1/2'
'x+1/2,-y,z+1/2'
loop_
_atom_site_label
_atom_site_type_symbol
_atom_site_fract_x
_atom_site_fract_y
_atom_site_fract_z
Ba1 Ba 0.250 0.250 0.250
Ba2 Ba 0.250 0.250 0.750
Na1 Na 0.250 0.750 0.250
Na2 Na 0.250 0.750 0.750
Ce1 Ce 0.000 0.000 0.000
Bi1 Bi 0.000 0.000 0.500
O1 O 0.020 0.745 0.040
O2 O 0.030 0.536 0.755
O3 O 0.245 0.035 0.480
```

Peak list (8 most intense, 2θ = 10–80°, low angle first)
2θ = 14.5°, I 10, hkl 1 1 0
2θ = 20.5°, I 17, hkl 0 0 2
2θ = 29.2°, I 100, hkl 0 2 2
2θ = 41.7°, I 10, hkl 0 0 4
2θ = 41.9°, I 10, hkl 4 0 0
2θ = 51.8°, I 30, hkl 2 4 2
2θ = 51.9°, I 15, hkl 4 2 2
2θ = 60.6°, I 12, hkl 4 0 4

(6)
Mg6NbSnO8: computed powder diffraction line list (Cu Kα X-rays), based on a crystal structure in the Materials Project, relaxed with PBE.
Peak positions follow from Bragg's law for the DFT cell and can differ from measured ones.

Structural model:
```
data_Mg6NbSnO8
_symmetry_space_group_name_H-M 'P 4/m m m'
_symmetry_Int_Tables_number 123
_symmetry_space_group_name_Hall '-P 4 2'
_cell_length_a 4.502
_cell_length_b 4.502
_cell_length_c 9.042
_cell_angle_alpha 90.00
_cell_angle_beta 90.00
_cell_angle_gamma 90.00
loop_
_atom_site_label
_atom_site_type_symbol
_atom_site_fract_x
_atom_site_fract_y
_atom_site_fract_z
Mg1 Mg 0.000 0.000 0.000
Mg2 Mg 0.000 0.000 0.500
Mg3 Mg 0.000 0.500 0.246
Nb1 Nb 0.500 0.500 0.000
Sn1 Sn 0.500 0.500 0.500
O1 O 0.000 0.000 0.250
O2 O 0.000 0.500 0.000
O3 O 0.000 0.500 0.500
O4 O 0.500 0.500 0.241
```

Peak list (8 most intense, 2θ = 10–80°, low angle first)
2θ = 19.7°, I 100, hkl 0 0 2
2θ = 28.0°, I 86, hkl 1 0 2
2θ = 34.5°, I 69, hkl 1 1 2
2θ = 39.9°, I 50, hkl 0 0 4
2θ = 40.1°, I 100, hkl 2 0 0
2θ = 45.0°, I 32, hkl 2 0 2
2θ = 57.8°, I 62, hkl 2 0 4
2θ = 57.9°, I 31, hkl 2 2 0

(7)
NaNb10O18: computed powder diffraction line list (Cu Kα X-rays), based on a crystal structure in the Materials Project, relaxed with PBE.
Peak positions follow from Bragg's law for the DFT cell and can differ from measured ones.

Structural model:
```
data_NaNb10O18
_symmetry_space_group_name_H-M 'P 1 21/c 1'
_symmetry_Int_Tables_number 14
_cell_length_a 7.932
_cell_length_b 9.478
_cell_length_c 10.419
_cell_angle_alpha 90.00
_cell_angle_beta 110.40
_cell_angle_gamma 90.00
loop_
_symmetry_equiv_pos_as_xyz
'x,y,z'
'-x,-y,-z'
'-x,y+1/2,-z+1/2'
'x,-y+1/2,z+1/2'
loop_
_atom_site_label
_atom_site_type_symbol
_atom_site_fract_x
_atom_site_fract_y
_atom_site_fract_z
Na1 Na 0.000 0.000 0.000
Nb1 Nb 0.004 0.116 0.669
Nb2 Nb 0.180 0.630 0.123
Nb3 Nb 0.197 0.126 0.481
Nb4 Nb 0.397 0.113 0.270
Nb5 Nb 0.398 0.630 0.439
O1 O 0.011 0.239 0.850
O2 O 0.196 0.747 0.461
O3 O 0.200 0.005 0.303
O4 O 0.200 0.513 0.304
O5 O 0.202 0.247 0.146
O6 O 0.394 0.007 0.098
O7 O 0.400 0.503 0.108
O8 O 0.411 0.737 0.274
O9 O 0.417 0.244 0.432
```

Peak list (8 most intense, 2θ = 10–80°, low angle first)
2θ = 13.0°, I 54, hkl 0 1 1
2θ = 15.4°, I 68, hkl 1 1 -1
2θ = 20.8°, I 46, hkl 0 2 1
2θ = 25.6°, I 99, hkl 1 2 1
2θ = 31.0°, I 45, hkl 2 1 -3
2θ = 35.7°, I 66, hkl 1 1 -4
2θ = 45.1°, I 100, hkl 1 3 -4
2θ = 62.5°, I 41, hkl 5 0 0

(8)
Ho2Pd2Pb: computed powder diffraction line list (Cu Kα X-rays), based on a crystal structure in the Materials Project, relaxed with PBE.
Peak positions follow from Bragg's law for the DFT cell and can differ from measured ones.

Structural model:
```
data_Ho2Pd2Pb
_symmetry_space_group_name_H-M 'P 4/m b m'
_symmetry_Int_Tables_number 127
_symmetry_space_group_name_Hall '-P 4 2ab'
_cell_length_a 7.948
_cell_length_b 7.948
_cell_length_c 3.572
_cell_angle_alpha 90.00
_cell_angle_beta 90.00
_cell_angle_gamma 90.00
loop_
_atom_site_label
_atom_site_type_symbol
_atom_site_fract_x
_atom_site_fract_y
_atom_site_fract_z
Ho1 Ho 0.170 0.330 0.000
Pd1 Pd 0.126 0.626 0.500
Pb1 Pb 0.000 0.000 0.500
```

Peak list (8 most intense, 2θ = 10–80°, low angle first)
2θ = 31.8°, I 11, hkl 2 2 0
2θ = 33.7°, I 31, hkl 2 0 1
2θ = 35.7°, I 100, hkl 3 1 0
2θ = 51.1°, I 9, hkl 0 0 2
2θ = 55.4°, I 10, hkl 3 3 1
2θ = 64.0°, I 15, hkl 3 1 2
2θ = 65.3°, I 11, hkl 5 1 1
2θ = 68.8°, I 10, hkl 5 2 1

(9)
KZnHCl3: computed powder diffraction line list (Cu Kα X-rays), based on a crystal structure in the Materials Project, relaxed with PBE.
Peak positions follow from Bragg's law for the DFT cell and can differ from measured ones.

Structural model:
```
data_KZnHCl3
_symmetry_space_group_name_H-M 'P 21 21 21'
_symmetry_Int_Tables_number 19
_cell_length_a 6.666
_cell_length_b 8.988
_cell_length_c 11.821
_cell_angle_alpha 90.00
_cell_angle_beta 90.00
_cell_angle_gamma 90.00
loop_
_symmetry_equiv_pos_as_xyz
'x,y,z'
'-x+1/2,-y,z+1/2'
'x+1/2,-y+1/2,-z'
'-x,y+1/2,-z+1/2'
loop_
_atom_site_label
_atom_site_type_symbol
_atom_site_fract_x
_atom_site_fract_y
_atom_site_fract_z
K1 K 0.189 0.013 0.007
Zn1 Zn 0.233 0.609 0.744
H1 H 0.174 0.567 0.274
Cl1 Cl 0.099 0.081 0.746
Cl2 Cl 0.107 0.273 0.384
Cl3 Cl 0.150 0.365 0.067
```

Peak list (8 most intense, 2θ = 10–80°, low angle first)
2θ = 18.2°, I 66, hkl 1 1 1
2θ = 21.2°, I 100, hkl 0 2 1
2θ = 22.4°, I 47, hkl 1 1 2
2θ = 26.3°, I 27, hkl 1 0 3
2θ = 30.2°, I 25, hkl 0 0 4
2θ = 32.8°, I 23, hkl 1 3 0
2θ = 34.3°, I 23, hkl 2 2 1
2θ = 44.7°, I 19, hkl 3 1 2

(10)
BaBr2O2: computed powder diffraction line list (Cu Kα X-rays), based on a crystal structure in the Materials Project, relaxed with PBE.
Peak positions follow from Bragg's law for the DFT cell and can differ from measured ones.

Structural model:
```
data_BaBr2O2
_symmetry_space_group_name_H-M 'C 1 2/c 1'
_symmetry_Int_Tables_number 15
_cell_length_a 9.776
_cell_length_b 6.853
_cell_length_c 9.661
_cell_angle_alpha 90.00
_cell_angle_beta 120.09
_cell_angle_gamma 90.00
loop_
_symmetry_equiv_pos_as_xyz
'x,y,z'
'-x,-y,-z'
'-x,y,-z+1/2'
'x,-y,z+1/2'
'x+1/2,y+1/2,z'
'-x+1/2,-y+1/2,-z'
'-x+1/2,y+1/2,-z+1/2'
'x+1/2,-y+1/2,z+1/2'
loop_
_atom_site_label
_atom_site_type_symbol
_atom_site_fract_x
_atom_site_fract_y
_atom_site_fract_z
Ba1 Ba 0.000 0.160 0.250
Br1 Br 0.118 0.260 0.636
O1 O 0.215 0.436 0.460
```

Peak list (8 most intense, 2θ = 10–80°, low angle first)
2θ = 16.7°, I 88, hkl 1 1 -1
2θ = 22.5°, I 27, hkl 1 1 1
2θ = 26.0°, I 41, hkl 0 2 0
2θ = 28.1°, I 29, hkl 0 2 1
2θ = 30.8°, I 100, hkl 3 1 -1
2θ = 31.2°, I 98, hkl 1 1 -3
2θ = 34.5°, I 33, hkl 3 1 -3
2θ = 37.0°, I 41, hkl 2 0 2